(1)
Diffraction record for KMg2P2H31O23. The PXRD pattern is calculated, not measured: it uses a crystal structure in the Materials Project, relaxed with PBE and a wavelength of 1.5418 Å.
Kinematic intensities with the Lorentz-polarization factor, no thermal factor.

Cell and atoms:
a b c (Å): 6.6026 6.8110 12.2845
angles (deg): 85.02 81.76 88.81
Space group P1 (No. 1)
One atom of each set of equivalent atoms:
K  0.0000  0.0000  0.0000 (multiplicity 1)
Mg  0.0139  0.5507  0.7297 (multiplicity 1)
Mg  0.5611  0.0383  0.2844 (multiplicity 1)
P  0.4296  0.4976  0.9884 (multiplicity 1)
P  0.6426  0.5872  0.5943 (multiplicity 1)
H  0.0059  0.5344  0.0959 (multiplicity 1)
H  0.0206  0.3740  0.9239 (multiplicity 1)
H  0.1003  0.5291  0.4785 (multiplicity 1)
H  0.1066  0.8819  0.6185 (multiplicity 1)
H  0.1128  0.0304  0.4203 (multiplicity 1)
H  0.1149  0.2035  0.6578 (multiplicity 1)
H  0.2460  0.7522  0.3599 (multiplicity 1)
H  0.2596  0.8450  0.2370 (multiplicity 1)
H  0.3209  0.3053  0.6845 (multiplicity 1)
H  0.3217  0.3676  0.3219 (multiplicity 1)
H  0.3296  0.8040  0.6419 (multiplicity 1)
H  0.3456  0.5257  0.4636 (multiplicity 1)
H  0.4313  0.4089  0.1983 (multiplicity 1)
H  0.4342  0.8796  0.8695 (multiplicity 1)
H  0.4481  0.1024  0.8994 (multiplicity 1)
H  0.5260  0.5302  0.7772 (multiplicity 1)
H  0.5284  0.8439  0.0967 (multiplicity 1)
H  0.5346  0.0870  0.0647 (multiplicity 1)
H  0.5628  0.2313  0.4732 (multiplicity 1)
H  0.5652  0.9921  0.5072 (multiplicity 1)
H  0.6660  0.6718  0.3815 (multiplicity 1)
H  0.6806  0.1855  0.7157 (multiplicity 1)
H  0.6941  0.9738  0.6763 (multiplicity 1)
H  0.7538  0.5615  0.1167 (multiplicity 1)
H  0.7610  0.6857  0.8849 (multiplicity 1)
H  0.7829  0.3290  0.9121 (multiplicity 1)
H  0.7914  0.7001  0.2612 (multiplicity 1)
H  0.8677  0.3170  0.2093 (multiplicity 1)
H  0.9087  0.1045  0.4859 (multiplicity 1)
H  0.9642  0.1371  0.2753 (multiplicity 1)
H  0.9884  0.6472  0.9203 (multiplicity 1)
O  0.0568  0.0986  0.4852 (multiplicity 1)
O  0.1772  0.7930  0.6680 (multiplicity 1)
O  0.1821  0.3268  0.6661 (multiplicity 1)
O  0.1912  0.4890  0.9948 (multiplicity 1)
O  0.2239  0.5473  0.4227 (multiplicity 1)
O  0.2682  0.8835  0.3110 (multiplicity 1)
O  0.3568  0.0048  0.8780 (multiplicity 1)
O  0.3991  0.3020  0.2595 (multiplicity 1)
O  0.4888  0.5910  0.0914 (multiplicity 1)
O  0.5226  0.6278  0.8818 (multiplicity 1)
O  0.5327  0.2902  0.9807 (multiplicity 1)
O  0.5333  0.4597  0.7038 (multiplicity 1)
O  0.5646  0.8015  0.6012 (multiplicity 1)
O  0.5667  0.9746  0.1189 (multiplicity 1)
O  0.5701  0.0987  0.4452 (multiplicity 1)
O  0.5803  0.4933  0.4945 (multiplicity 1)
O  0.7128  0.7730  0.3199 (multiplicity 1)
O  0.7755  0.0752  0.7025 (multiplicity 1)
O  0.8574  0.1707  0.2294 (multiplicity 1)
O  0.8727  0.5713  0.5985 (multiplicity 1)
O  0.8807  0.5517  0.1527 (multiplicity 1)
O  0.9116  0.7226  0.8672 (multiplicity 1)
O  0.9278  0.3307  0.8730 (multiplicity 1)

Top 12 peaks for 2θ from 15° to 90°, by intensity:
27.26 deg, 3.271 Å, rel. 100, hkl 2 0 1; 31.32 deg, 2.856 Å, rel. 70, hkl 0 1 4; 26.27 deg, 3.393 Å, rel. 57, hkl 0 2 0; 33.45 deg, 2.679 Å, rel. 54, hkl 1 -2 2; 32.41 deg, 2.762 Å, rel. 54, hkl 1 1 4; 22.01 deg, 4.038 Å, rel. 50, hkl 0 0 3; 26.62 deg, 3.348 Å, rel. 49, hkl 1 1 3; 19.00 deg, 4.671 Å, rel. 44, hkl 1 1 1; 23.49 deg, 3.787 Å, rel. 38, hkl 1 -1 2; 16.30 deg, 5.437 Å, rel. 35, hkl 1 0 -1; 29.93 deg, 2.985 Å, rel. 34, hkl 2 1 1; 37.78 deg, 2.381 Å, rel. 34, hkl 1 1 -4

***

(2)
Diffraction record for KMgH5Se2O10. The PXRD pattern is calculated, not measured: it uses a crystal structure in the Materials Project, relaxed with PBE and a wavelength of 1.5418 Å.
Kinematic intensities with the Lorentz-polarization factor, no thermal factor.

Cell and atoms:
a b c (Å): 4.7832 6.0580 8.7432
angles (deg): 103.59 97.66 98.27
Space group P1 (No. 1)
One atom of each set of equivalent atoms:
K  0.0000  0.0000  0.0000 (multiplicity 1)
Mg  0.0016  0.0025  0.5107 (multiplicity 1)
H  0.0741  0.6681  0.6654 (multiplicity 1)
H  0.3801  0.7386  0.6166 (multiplicity 1)
H  0.4853  0.5252  0.0178 (multiplicity 1)
H  0.6224  0.2573  0.4089 (multiplicity 1)
H  0.9171  0.3194  0.3474 (multiplicity 1)
Se  0.3670  0.6755  0.2690 (multiplicity 1)
Se  0.6228  0.3188  0.7506 (multiplicity 1)
O  0.1804  0.4125  0.2382 (multiplicity 1)
O  0.1797  0.8875  0.3021 (multiplicity 1)
O  0.1950  0.7851  0.6277 (multiplicity 1)
O  0.3523  0.2754  0.5976 (multiplicity 1)
O  0.4751  0.6950  0.0892 (multiplicity 1)
O  0.5049  0.3036  0.9224 (multiplicity 1)
O  0.6517  0.7155  0.4104 (multiplicity 1)
O  0.7970  0.2011  0.3834 (multiplicity 1)
O  0.8135  0.1071  0.7122 (multiplicity 1)
O  0.8184  0.5788  0.7759 (multiplicity 1)

Top 12 peaks for 2θ from 15° to 90°, by intensity:
16.20 deg, 5.471 Å, rel. 100, hkl 0 1 -1; 26.64 deg, 3.346 Å, rel. 75, hkl 1 1 0; 24.35 deg, 3.655 Å, rel. 72, hkl 1 -1 1; 20.79 deg, 4.272 Å, rel. 50, hkl 0 1 1; 20.13 deg, 4.411 Å, rel. 43, hkl 1 0 -1; 24.94 deg, 3.570 Å, rel. 37, hkl -1 1 1; 26.03 deg, 3.424 Å, rel. 34, hkl 1 0 -2; 23.40 deg, 3.801 Å, rel. 32, hkl 1 0 1; 21.23 deg, 4.185 Å, rel. 31, hkl 0 0 2; 22.77 deg, 3.906 Å, rel. 29, hkl 0 1 -2; 34.48 deg, 2.601 Å, rel. 25, hkl 1 0 -3; 33.33 deg, 2.688 Å, rel. 24, hkl 1 -2 0

***

(3)
Diffraction record for K3MnH5. The PXRD pattern is calculated, not measured: it uses a crystal structure in the Materials Project, relaxed with PBE and a wavelength of 1.5418 Å.
Kinematic intensities with the Lorentz-polarization factor, no thermal factor.

Cell and atoms:
a b c (Å): 7.6577 7.6577 11.6229
angles (deg): 90.00 90.00 90.00
Space group I4/mcm (No. 140)
One atom of each set of equivalent atoms:
K  0.0000  0.0000  0.2500 (multiplicity 4)
K  0.1863  0.3137  0.0000 (multiplicity 8)
Mn  0.0000  0.5000  0.2500 (multiplicity 4)
H  0.0000  0.0000  0.0000 (multiplicity 4)
H  0.1275  0.3725  0.3422 (multiplicity 16)

Top 12 peaks for 2θ from 15° to 90°, by intensity:
27.90 deg, 3.197 Å, rel. 100, hkl 2 0 2; 33.09 deg, 2.707 Å, rel. 26, hkl 2 2 0; 30.77 deg, 2.906 Å, rel. 25, hkl 0 0 4; 27.15 deg, 3.285 Å, rel. 25, hkl 2 1 1; 45.81 deg, 1.981 Å, rel. 19, hkl 2 2 4; 34.98 deg, 2.565 Å, rel. 17, hkl 2 1 3; 52.97 deg, 1.729 Å, rel. 14, hkl 2 0 6; 55.99 deg, 1.642 Å, rel. 9, hkl 4 2 2; 49.71 deg, 1.834 Å, rel. 8, hkl 4 1 1; 50.17 deg, 1.818 Å, rel. 7, hkl 4 0 2; 74.03 deg, 1.281 Å, rel. 7, hkl 2 2 8; 16.37 deg, 5.415 Å, rel. 7, hkl 1 1 0

***

(4)
Diffraction record for K2NaH6N3. The PXRD pattern is calculated, not measured: it uses a crystal structure in the Materials Project, relaxed with PBE and a wavelength of 1.5418 Å.
Kinematic intensities with the Lorentz-polarization factor, no thermal factor.

Cell and atoms:
a b c (Å): 7.0334 7.0334 12.4093
angles (deg): 90.00 90.00 90.00
Space group P4_2/m (No. 84)
One atom of each set of equivalent atoms:
K  0.0000  0.0000  0.0000 (multiplicity 2)
K  0.0000  0.5000  0.1506 (multiplicity 4)
K  0.5000  0.5000  0.2500 (multiplicity 2)
Na  0.3247  0.6378  0.5000 (multiplicity 4)
H  0.0481  0.6695  0.3497 (multiplicity 8)
H  0.1422  0.8351  0.2787 (multiplicity 8)
H  0.2433  0.2958  0.4352 (multiplicity 8)
N  0.1782  0.7304  0.3330 (multiplicity 8)
N  0.2781  0.6666  0.0000 (multiplicity 4)

Top 12 peaks for 2θ from 15° to 90°, by intensity:
34.06 deg, 2.632 Å, rel. 100, hkl 1 1 4; 31.90 deg, 2.806 Å, rel. 100, hkl 1 2 2; 36.12 deg, 2.487 Å, rel. 69, hkl 2 2 0; 35.87 deg, 2.504 Å, rel. 57, hkl 2 1 3; 41.16 deg, 2.193 Å, rel. 51, hkl 3 0 2; 29.29 deg, 3.049 Å, rel. 38, hkl 1 2 1; 24.97 deg, 3.566 Å, rel. 27, hkl 1 0 3; 50.49 deg, 1.808 Å, rel. 26, hkl 1 3 4; 44.42 deg, 2.040 Å, rel. 23, hkl 3 0 3; 19.07 deg, 4.653 Å, rel. 21, hkl 1 0 2; 63.64 deg, 1.462 Å, rel. 20, hkl 3 3 4; 25.33 deg, 3.517 Å, rel. 20, hkl 2 0 0

***

(5)
Diffraction record for KPH3NO3. The PXRD pattern is calculated, not measured: it uses a crystal structure in the Materials Project, relaxed with PBE and a wavelength of 1.5418 Å.
Kinematic intensities with the Lorentz-polarization factor, no thermal factor.

Cell and atoms:
a b c (Å): 6.1639 6.9238 11.9817
angles (deg): 90.00 120.43 90.00
Space group P2_1/c (No. 14)
One atom of each set of equivalent atoms:
K  0.0425  0.0119  0.2912 (multiplicity 4)
P  0.3382  0.6598  0.5886 (multiplicity 4)
H  0.1705  0.1504  0.0782 (multiplicity 4)
H  0.3617  0.1525  0.0125 (multiplicity 4)
H  0.4901  0.1642  0.1765 (multiplicity 4)
N  0.3433  0.1027  0.0907 (multiplicity 4)
O  0.1338  0.7031  0.4496 (multiplicity 4)
O  0.2709  0.7153  0.6905 (multiplicity 4)
O  0.3936  0.2116  0.8774 (multiplicity 4)

Top 12 peaks for 2θ from 15° to 90°, by intensity:
30.86 deg, 2.897 Å, rel. 100, hkl 1 2 0; 15.41 deg, 5.752 Å, rel. 87, hkl 0 1 1; 28.97 deg, 3.082 Å, rel. 79, hkl 2 0 -2; 25.83 deg, 3.449 Å, rel. 77, hkl 1 1 1; 26.01 deg, 3.425 Å, rel. 68, hkl 1 1 -3; 21.46 deg, 4.140 Å, rel. 62, hkl 0 1 2; 29.60 deg, 3.018 Å, rel. 61, hkl 1 0 2; 21.07 deg, 4.216 Å, rel. 56, hkl 1 1 0; 21.18 deg, 4.194 Å, rel. 54, hkl 1 1 -2; 40.03 deg, 2.252 Å, rel. 46, hkl 0 3 1; 29.84 deg, 2.995 Å, rel. 45, hkl 1 0 -4; 31.10 deg, 2.876 Å, rel. 33, hkl 0 2 2

***

(6)
Diffraction record for K3H2S2NO7. The PXRD pattern is calculated, not measured: it uses a crystal structure in the Materials Project, relaxed with PBE and a wavelength of 1.5418 Å.
Kinematic intensities with the Lorentz-polarization factor, no thermal factor.

Cell and atoms:
a b c (Å): 6.8187 8.0542 8.2198
angles (deg): 97.64 90.89 103.25
Space group P-1 (No. 2)
One atom of each set of equivalent atoms:
K  0.0638  0.1988  0.3444 (multiplicity 2)
K  0.2409  0.3131  0.9446 (multiplicity 2)
K  0.4234  0.6684  0.6739 (multiplicity 2)
H  0.3397  0.0997  0.5452 (multiplicity 2)
H  0.4806  0.2193  0.6835 (multiplicity 2)
S  0.1460  0.6806  0.3067 (multiplicity 2)
S  0.2772  0.8492  0.0621 (multiplicity 2)
N  0.1227  0.7512  0.1272 (multiplicity 2)
O  0.0197  0.3999  0.6821 (multiplicity 2)
O  0.1978  0.8546  0.4575 (multiplicity 2)
O  0.2093  0.8864  0.8929 (multiplicity 2)
O  0.2680  0.5211  0.3063 (multiplicity 2)
O  0.3377  0.0409  0.1858 (multiplicity 2)
O  0.3886  0.2361  0.5985 (multiplicity 2)
O  0.4114  0.7047  0.0423 (multiplicity 2)

Top 12 peaks for 2θ from 15° to 90°, by intensity:
22.91 deg, 3.881 Å, rel. 100, hkl 0 2 0; 34.07 deg, 2.631 Å, rel. 93, hkl 2 0 -2; 29.58 deg, 3.020 Å, rel. 81, hkl 2 0 1; 29.87 deg, 2.992 Å, rel. 75, hkl 1 2 -1; 27.23 deg, 3.275 Å, rel. 68, hkl -1 2 1; 17.65 deg, 5.024 Å, rel. 53, hkl 1 0 1; 33.43 deg, 2.680 Å, rel. 51, hkl 0 1 -3; 30.60 deg, 2.921 Å, rel. 49, hkl 1 -2 2; 33.02 deg, 2.713 Å, rel. 48, hkl 0 0 3; 26.11 deg, 3.412 Å, rel. 46, hkl 0 1 2; 39.16 deg, 2.300 Å, rel. 43, hkl 1 2 2; 42.06 deg, 2.148 Å, rel. 37, hkl 3 -2 0